This entry pairs a crystal structure of Pr3PtAu3 with its theoretical powder XRD pattern. Radiation: CuKα. Structure: a crystal structure in Alexandria, relaxed with GGA-PBE.
No peak broadening, texture or thermal motion is included.

Crystal structure
```
Pr3PtAu3
1.0
-1.9659 2.2873 10.0585
1.9659 -2.2873 10.0585
1.9659 2.2873 -10.0585
Pr Pt Au
3 1 3
Direct
0.0000 0.0000 0.0000
0.3648 0.3648 0.0000
0.6941 0.1941 0.5000
0.2528 0.7528 0.5000
0.1189 0.6189 0.5000
0.5285 0.5285 0.0000
0.8391 0.8391 0.0000
```

The 10 most intense peaks (10° ≤ 2θ ≤ 80°), most intense first:
2θ/deg  I_rel
31.3  1000
40.5  570
36.9  482
39.4  367
46.2  301
35.0  241
60.5  232
31.8  231
23.0  196
62.3  193